# 1
Starting from a cell relaxed with GGA-PBE, the powder XRD pattern of Pr3Ge5 was computed for Cu Kα, 1.54184 Å.
Kinematic intensities with the Lorentz-polarization factor, no thermal factor.

Structure:
Cell: 9.7074 7.7516 9.8786 Å, 90.00 90.00 90.00°
Space group Cmcm (No. 63)
One atom of each set of equivalent atoms:
1 Pr 0.0000 0.1466 0.2500 x4
2 Pr 0.2034 0.5000 0.0000 x8
3 Ge 0.0000 0.1804 0.5565 x8
4 Ge 0.0000 0.4569 0.7500 x4
5 Ge 0.1998 0.2171 0.7500 x8

Main lines, in order of falling intensity (2θ = 15–90°):
| 2theta | d (Å) | I (rel.) | hkl |
| --- | --- | --- | --- |
| 34.75 | 2.582 | 100 | 2 2 2 |
| 36.38 | 2.470 | 50 | 0 0 4 |
| 35.97 | 2.497 | 44 | 1 3 0 |
| 30.89 | 2.894 | 42 | 2 2 1 |
| 29.29 | 3.049 | 41 | 0 2 2 |
| 35.12 | 2.555 | 38 | 3 1 2 |

***

# 2
Starting from a cell relaxed with GGA-PBE, the powder XRD pattern of Pr5Ge4 was computed for Cu Kα, 1.54184 Å.
Kinematic intensities with the Lorentz-polarization factor, no thermal factor.

Structure:
Cell: 8.0030 15.3407 8.0913 Å, 90.00 90.00 90.00°
Space group Pnma (No. 62)
One atom of each set of equivalent atoms:
1 Pr 0.0253 0.1026 0.1791 x8
2 Pr 0.1196 0.6143 0.3391 x8
3 Pr 0.2140 0.2500 0.5022 x4
4 Ge 0.0893 0.2500 0.8918 x4
5 Ge 0.1753 0.7500 0.6315 x4
6 Ge 0.2224 0.0451 0.5310 x8

Main lines, in order of falling intensity (2θ = 15–90°):
| 2theta | d (Å) | I (rel.) | hkl |
| --- | --- | --- | --- |
| 30.30 | 2.949 | 100 | 1 3 2 |
| 34.23 | 2.620 | 52 | 2 4 1 |
| 35.61 | 2.521 | 48 | 1 1 3 |
| 32.16 | 2.783 | 46 | 0 4 2 |
| 32.33 | 2.769 | 39 | 2 4 0 |
| 31.44 | 2.845 | 39 | 2 0 2 |

***

# 3
Starting from a cell relaxed with GGA-PBE, the powder XRD pattern of Pr4Ge7 was computed for Cu Kα, 1.54184 Å.
Kinematic intensities with the Lorentz-polarization factor, no thermal factor.

Structure:
Cell: 6.0607 14.1415 12.1390 Å, 90.00 90.00 90.00°
Space group C222_1 (No. 20)
One atom of each set of equivalent atoms:
1 Pr 0.0000 0.0048 0.2500 x4
2 Pr 0.0127 0.5000 0.0000 x4
3 Pr 0.2368 0.2547 0.6201 x8
4 Ge 0.0000 0.4373 0.7500 x4
5 Ge 0.0152 0.0881 0.9900 x8
6 Ge 0.1800 0.3502 0.3414 x8
7 Ge 0.2458 0.3286 0.8719 x8

Main lines, in order of falling intensity (2θ = 15–90°):
| 2theta | d (Å) | I (rel.) | hkl |
| --- | --- | --- | --- |
| 32.12 | 2.787 | 100 | 0 2 4 |
| 38.11 | 2.361 | 47 | 1 5 2 |
| 28.13 | 3.172 | 40 | 1 3 2 |
| 42.14 | 2.144 | 37 | 2 0 4 |
| 58.11 | 1.587 | 22 | 1 5 6 |
| 49.90 | 1.828 | 18 | 1 7 2 |

***

# 4
Starting from a cell relaxed with GGA-PBE, the powder XRD pattern of Pr2GePt8 was computed for Cu Kα, 1.54184 Å.
Kinematic intensities with the Lorentz-polarization factor, no thermal factor.

Structure:
Cell: 4.3130 17.8210 5.5118 Å, 90.00 90.00 90.00°
Space group Amm2 (No. 38)
One atom of each set of equivalent atoms:
1 Pr 0.0000 0.1237 0.0000 x4
2 Ge 0.5000 0.0000 0.2647 x2
3 Pt 0.0000 0.0000 0.5054 x2
4 Pt 0.0000 0.2023 0.5046 x4
5 Pt 0.5000 0.0000 0.8403 x2
6 Pt 0.5000 0.1135 0.5056 x4
7 Pt 0.5000 0.2492 0.7587 x4

Main lines, in order of falling intensity (2θ = 15–90°):
| 2theta | d (Å) | I (rel.) | hkl |
| --- | --- | --- | --- |
| 36.54 | 2.459 | 100 | 1 5 1 |
| 41.89 | 2.157 | 41 | 2 0 0 |
| 43.97 | 2.059 | 39 | 1 4 2 |
| 38.78 | 2.322 | 30 | 1 0 2 |
| 38.41 | 2.344 | 23 | 0 4 2 |
| 16.84 | 5.266 | 21 | 0 1 1 |

***

# 5
Starting from a cell relaxed with GGA-PBE, the powder XRD pattern of PrSiGe3Pt6 was computed for Cu Kα, 1.54184 Å.
Kinematic intensities with the Lorentz-polarization factor, no thermal factor.

Structure:
Cell: 7.2976 7.2976 4.0377 Å, 90.00 90.00 120.00°
Space group P-6m2 (No. 187)
One atom of each set of equivalent atoms:
1 Pr 0.0000 0.0000 0.0000 x1
2 Si 0.3333 0.6667 0.0000 x1
3 Ge 0.3847 0.1923 0.5000 x3
4 Pt 0.1994 0.3987 0.5000 x3
5 Pt 0.5309 0.0618 0.0000 x3

Main lines, in order of falling intensity (2θ = 15–90°):
| 2theta | d (Å) | I (rel.) | hkl |
| --- | --- | --- | --- |
| 36.09 | 2.488 | 100 | 2 0 1 |
| 44.05 | 2.056 | 33 | 2 1 1 |
| 44.90 | 2.019 | 21 | 0 0 2 |
| 37.66 | 2.389 | 19 | 2 1 0 |
| 49.99 | 1.824 | 19 | 2 2 0 |
| 42.93 | 2.107 | 19 | 3 0 0 |

***

# 6
Starting from a cell relaxed with GGA-PBE, the powder XRD pattern of PrRe4SiGe was computed for Cu Kα, 1.54184 Å.
Kinematic intensities with the Lorentz-polarization factor, no thermal factor.

Structure:
Cell: 4.1547 4.1894 14.2407 Å, 90.00 90.00 90.00°
Space group Amm2 (No. 38)
One atom of each set of equivalent atoms:
1 Pr 0.0000 0.0000 0.0000 x2
2 Re 0.0000 0.0000 0.2980 x2
3 Re 0.0000 0.0000 0.6946 x2
4 Re 0.5000 0.0000 0.1898 x2
5 Re 0.5000 0.0000 0.8026 x2
6 Si 0.5000 0.0000 0.5908 x2
7 Ge 0.5000 0.0000 0.4137 x2

Main lines, in order of falling intensity (2θ = 15–90°):
| 2theta | d (Å) | I (rel.) | hkl |
| --- | --- | --- | --- |
| 35.84 | 2.506 | 100 | 1 1 3 |
| 44.20 | 2.049 | 44 | 1 1 5 |
| 43.19 | 2.095 | 25 | 0 2 0 |
| 43.57 | 2.077 | 24 | 2 0 0 |
| 54.81 | 1.675 | 17 | 1 1 7 |
| 63.02 | 1.475 | 16 | 2 2 0 |

***

# 7
Starting from a cell relaxed with GGA-PBE, the powder XRD pattern of Pr4Ge3S12 was computed for Cu Kα, 1.54184 Å.
Kinematic intensities with the Lorentz-polarization factor, no thermal factor.

Structure:
Cell: 19.5217 19.5217 8.0501 Å, 90.00 90.00 120.00°
Space group R3c (No. 161, hexagonal axes)
One atom of each set of equivalent atoms:
1 Pr 0.0000 0.0000 0.0000 x6
2 Pr 0.1048 0.4334 0.4563 x18
3 Ge 0.0124 0.1993 0.3421 x18
4 S 0.0045 0.2744 0.1421 x18
5 S 0.0455 0.4866 0.1708 x18
6 S 0.0610 0.1238 0.7500 x18
7 S 0.2012 0.0874 0.4993 x18

Main lines, in order of falling intensity (2θ = 15–90°):
| 2theta | d (Å) | I (rel.) | hkl |
| --- | --- | --- | --- |
| 24.12 | 3.689 | 100 | 4 1 0 |
| 34.66 | 2.588 | 50 | 5 0 2 |
| 26.17 | 3.406 | 43 | 1 2 2 |
| 32.05 | 2.793 | 41 | 2 3 2 |
| 36.83 | 2.440 | 29 | 4 4 0 |
| 17.72 | 5.005 | 25 | 2 1 1 |

***

# 8
Starting from a cell relaxed with GGA-PBE, the powder XRD pattern of PrGe2Se was computed for Cu Kα, 1.54184 Å.
Kinematic intensities with the Lorentz-polarization factor, no thermal factor.

Structure:
Cell: 4.0945 6.6193 6.9798 Å, 90.00 90.00 90.00°
Space group Pmc2_1 (No. 26)
One atom of each set of equivalent atoms:
1 Pr 0.0000 0.1811 0.0000 x2
2 Ge 0.0000 0.3374 0.5204 x2
3 Ge 0.5000 0.4995 0.2455 x2
4 Se 0.5000 0.0276 0.2718 x2

Main lines, in order of falling intensity (2θ = 15–90°):
| 2theta | d (Å) | I (rel.) | hkl |
| --- | --- | --- | --- |
| 33.75 | 2.656 | 100 | 1 0 2 |
| 34.86 | 2.574 | 52 | 1 2 0 |
| 37.45 | 2.401 | 41 | 0 2 2 |
| 37.23 | 2.415 | 36 | 1 2 1 |
| 29.88 | 2.991 | 31 | 0 2 1 |
| 44.24 | 2.047 | 24 | 2 0 0 |

***

# 9
Starting from a cell relaxed with GGA-PBE, the powder XRD pattern of Pr4Si3Ge was computed for Cu Kα, 1.54184 Å.
Kinematic intensities with the Lorentz-polarization factor, no thermal factor.

Structure:
Cell: 13.4408 4.4986 6.6054 Å, 90.00 90.24 90.00°
Space group Cm (No. 8)
One atom of each set of equivalent atoms:
1 Pr 0.0000 0.0000 0.0000 x2
2 Pr 0.0505 0.5000 0.5060 x2
3 Pr 0.2229 0.5000 0.0045 x2
4 Pr 0.3246 0.5000 0.5044 x2
5 Si 0.1783 0.0000 0.3169 x2
6 Si 0.1825 0.0000 0.6927 x2
7 Si 0.3669 0.0000 0.8090 x2
8 Ge 0.3699 0.0000 0.1953 x2

Main lines, in order of falling intensity (2θ = 15–90°):
| 2theta | d (Å) | I (rel.) | hkl |
| --- | --- | --- | --- |
| 31.26 | 2.861 | 100 | 3 1 -1 |
| 34.34 | 2.611 | 45 | 1 1 2 |
| 27.00 | 3.303 | 25 | 0 0 2 |
| 40.09 | 2.249 | 23 | 0 2 0 |
| 29.88 | 2.990 | 18 | 4 0 1 |
| 24.84 | 3.585 | 16 | 1 1 -1 |

***

# 10
Starting from a cell relaxed with GGA-PBE, the powder XRD pattern of PrSmZn6Ge3 was computed for Cu Kα, 1.54184 Å.
Kinematic intensities with the Lorentz-polarization factor, no thermal factor.

Structure:
Cell: 7.6634 7.6634 4.0950 Å, 90.00 90.00 120.00°
Space group P-6 (No. 174)
One atom of each set of equivalent atoms:
1 Pr 0.0000 0.0000 0.0000 x1
2 Sm 0.6667 0.3333 0.0000 x1
3 Zn 0.0446 0.6662 0.5000 x3
4 Zn 0.1429 0.4782 0.0000 x3
5 Ge 0.3370 0.0517 0.5000 x3

Main lines, in order of falling intensity (2θ = 15–90°):
| 2theta | d (Å) | I (rel.) | hkl |
| --- | --- | --- | --- |
| 31.99 | 2.798 | 100 | 1 1 1 |
| 42.25 | 2.139 | 53 | 2 1 1 |
| 40.79 | 2.212 | 32 | 3 0 0 |
| 44.24 | 2.048 | 24 | 0 0 2 |
| 35.80 | 2.508 | 22 | 2 1 0 |
| 68.75 | 1.365 | 21 | 1 4 1 |

***

# 11
Starting from a cell relaxed with GGA-PBE, the powder XRD pattern of PrSmZn2Ge2 was computed for Cu Kα, 1.54184 Å.
Kinematic intensities with the Lorentz-polarization factor, no thermal factor.

Structure:
Cell: 4.2885 4.2885 16.5145 Å, 90.00 90.00 120.00°
Space group P6_3/mmc (No. 194)
One atom of each set of equivalent atoms:
1 Pr 0.0000 0.0000 0.2500 x2
2 Sm 0.0000 0.0000 0.0000 x2
3 Zn 0.3333 0.6667 0.1391 x4
4 Ge 0.3333 0.6667 0.6142 x4

Main lines, in order of falling intensity (2θ = 15–90°):
| 2theta | d (Å) | I (rel.) | hkl |
| --- | --- | --- | --- |
| 32.43 | 2.761 | 100 | 1 0 4 |
| 42.14 | 2.144 | 45 | 1 1 0 |
| 54.16 | 1.694 | 23 | 2 0 4 |
| 62.45 | 1.487 | 22 | 1 1 8 |
| 70.91 | 1.329 | 20 | 2 1 4 |
| 23.96 | 3.714 | 12 | 1 0 0 |

***

# 12
Starting from a cell relaxed with GGA-PBE, the powder XRD pattern of Pr2YGe3 was computed for Cu Kα, 1.54184 Å.
Kinematic intensities with the Lorentz-polarization factor, no thermal factor.

Structure:
Cell: 6.3876 6.3876 4.7488 Å, 90.00 90.00 120.00°
Space group P6/mmm (No. 191)
One atom of each set of equivalent atoms:
1 Pr 0.3333 0.6667 0.0000 x2
2 Y 0.0000 0.0000 0.0000 x1
3 Ge 0.0000 0.5000 0.5000 x3

Main lines, in order of falling intensity (2θ = 15–90°):
| 2theta | d (Å) | I (rel.) | hkl |
| --- | --- | --- | --- |
| 33.82 | 2.650 | 100 | 1 1 1 |
| 27.94 | 3.194 | 37 | 1 1 0 |
| 37.63 | 2.390 | 29 | 2 0 1 |
| 53.29 | 1.719 | 27 | 3 0 1 |
| 16.02 | 5.532 | 24 | 1 0 0 |
| 37.89 | 2.374 | 22 | 0 0 2 |